For NaLaMg14, a crystal structure in the Materials Project, relaxed with PBE gives the computed PXRD pattern in this record (copper Kα).
Kinematic intensities with the Lorentz-polarization factor, no thermal factor.

Largest 10 diffraction maxima, by intensity, 10° ≤ 2θ ≤ 80°:
2theta  I (rel.)
35.56  100
17.56  34
30.95  27
34.52  24
15.33  21
66.63  19
23.02  19
62.53  18
55.06  18
47.04  17

Cell and atoms:
```
NaLaMg14
1.0
6.672 0.000 0.000
-3.336 5.778 0.000
0.000 0.000 10.392
Na La Mg
1 1 14
direct
0.000 0.000 0.000
0.000 0.000 0.500
0.002 0.501 0.000
0.008 0.504 0.500
0.170 0.340 0.247
0.170 0.340 0.753
0.170 0.830 0.247
0.170 0.830 0.753
0.496 0.504 0.500
0.496 0.992 0.500
0.499 0.501 0.000
0.499 0.998 0.000
0.660 0.830 0.247
0.660 0.830 0.753
0.667 0.333 0.253
0.667 0.333 0.747
```



For NaLaMg14O16, a crystal structure in the Materials Project, relaxed with PBE gives the computed PXRD pattern in this record (copper Kα).
Kinematic intensities with the Lorentz-polarization factor, no thermal factor.

Largest 10 diffraction maxima, by intensity, 10° ≤ 2θ ≤ 80°:
2theta  I (rel.)
41.02  100
40.87  97
41.50  93
35.42  64
59.29  57
59.78  55
59.66  54
22.60  52
74.95  49
14.29  43

Cell and atoms:
```
NaLaMg14O16
1.0
4.400 0.000 0.000
0.000 8.704 0.000
0.000 0.000 8.832
Na La Mg O
1 1 14 16
direct
0.000 0.000 0.000
0.000 0.000 0.500
0.000 0.257 0.237
0.000 0.257 0.763
0.000 0.500 0.000
0.000 0.500 0.500
0.000 0.743 0.237
0.000 0.743 0.763
0.500 0.000 0.227
0.500 0.000 0.773
0.500 0.249 0.000
0.500 0.267 0.500
0.500 0.500 0.246
0.500 0.500 0.754
0.500 0.733 0.500
0.500 0.751 0.000
0.000 0.000 0.242
0.000 0.000 0.758
0.000 0.268 0.000
0.000 0.271 0.500
0.000 0.500 0.250
0.000 0.500 0.750
0.000 0.729 0.500
0.000 0.732 0.000
0.500 0.000 0.000
0.500 0.000 0.500
0.500 0.250 0.252
0.500 0.250 0.748
0.500 0.500 0.000
0.500 0.500 0.500
0.500 0.750 0.252
0.500 0.750 0.748
```



For NaLaMg14O16, a crystal structure in the Materials Project, relaxed with PBE gives the computed PXRD pattern in this record (copper Kα).
Kinematic intensities with the Lorentz-polarization factor, no thermal factor.

Largest 10 diffraction maxima, by intensity, 10° ≤ 2θ ≤ 80°:
2theta  I (rel.)
41.30  100
59.53  59
40.90  54
10.12  44
35.46  34
59.84  28
75.03  26
30.55  26
22.74  21
22.57  21

Cell and atoms:
```
NaLaMg14O16
1.0
8.743 0.000 0.000
0.000 8.743 0.000
0.000 0.000 4.413
Na La Mg O
1 1 14 16
direct
0.000 0.000 0.000
0.500 0.500 0.000
0.000 0.244 0.500
0.000 0.500 0.000
0.000 0.756 0.500
0.231 0.500 0.500
0.237 0.237 0.000
0.237 0.763 0.000
0.244 0.000 0.500
0.500 0.000 0.000
0.500 0.231 0.500
0.500 0.769 0.500
0.756 0.000 0.500
0.763 0.237 0.000
0.763 0.763 0.000
0.769 0.500 0.500
0.000 0.000 0.500
0.000 0.262 0.000
0.000 0.500 0.500
0.000 0.738 0.000
0.233 0.500 0.000
0.252 0.252 0.500
0.252 0.748 0.500
0.262 0.000 0.000
0.500 0.000 0.500
0.500 0.233 0.000
0.500 0.500 0.500
0.500 0.767 0.000
0.738 0.000 0.000
0.748 0.252 0.500
0.748 0.748 0.500
0.767 0.500 0.000
```



For NaLaMg6O8, a crystal structure in the Materials Project, relaxed with PBE gives the computed PXRD pattern in this record (copper Kα).
Kinematic intensities with the Lorentz-polarization factor, no thermal factor.

Largest 10 diffraction maxima, by intensity, 10° ≤ 2θ ≤ 80°:
2theta  I (rel.)
39.92  100
21.97  58
57.53  54
27.88  48
34.32  48
39.66  45
29.65  38
19.65  37
57.73  30
72.32  25

Cell and atoms:
```
NaLaMg6O8
1.0
4.517 0.000 0.000
0.000 4.517 0.000
0.000 0.000 9.089
Na La Mg O
1 1 6 8
direct
0.000 0.000 0.000
0.000 0.000 0.500
0.000 0.500 0.222
0.000 0.500 0.778
0.500 0.000 0.222
0.500 0.000 0.778
0.500 0.500 0.000
0.500 0.500 0.500
0.000 0.000 0.243
0.000 0.000 0.757
0.000 0.500 0.000
0.000 0.500 0.500
0.500 0.000 0.000
0.500 0.000 0.500
0.500 0.500 0.251
0.500 0.500 0.749
```



For NaLaMg6O8, a crystal structure in the Materials Project, relaxed with PBE gives the computed PXRD pattern in this record (copper Kα).
Kinematic intensities with the Lorentz-polarization factor, no thermal factor.

Largest 10 diffraction maxima, by intensity, 10° ≤ 2θ ≤ 80°:
2theta  I (rel.)
39.99  100
57.84  58
19.69  41
22.04  41
34.45  35
27.98  34
29.72  32
44.95  19
72.63  17
69.09  17

Cell and atoms:
```
NaLaMg6O8
1.0
4.510 0.000 0.000
0.000 4.510 0.000
0.000 0.000 9.014
Na La Mg O
1 1 6 8
direct
0.000 0.000 0.000
0.500 0.500 0.000
0.000 0.000 0.500
0.000 0.500 0.270
0.000 0.500 0.730
0.500 0.000 0.270
0.500 0.000 0.730
0.500 0.500 0.500
0.000 0.000 0.271
0.000 0.000 0.729
0.000 0.500 0.000
0.000 0.500 0.500
0.500 0.000 0.000
0.500 0.000 0.500
0.500 0.500 0.273
0.500 0.500 0.727
```



For Na4LaMgP3O12, a crystal structure in the Materials Project, relaxed with PBE gives the computed PXRD pattern in this record (copper Kα).
Kinematic intensities with the Lorentz-polarization factor, no thermal factor.

Largest 10 diffraction maxima, by intensity, 10° ≤ 2θ ≤ 80°:
2theta  I (rel.)
30.49  100
32.63  61
19.20  61
13.36  50
45.25  39
56.90  30
22.18  28
23.02  25
18.67  24
32.94  18

Cell and atoms:
```
Na4LaMgP3O12
1.0
4.754 2.745 7.451
-4.754 2.745 7.451
0.000 -5.489 7.451
Na La Mg P O
8 2 2 6 24
direct
0.000 0.000 0.000
0.133 0.394 0.740
0.240 0.894 0.633
0.394 0.740 0.133
0.500 0.500 0.500
0.633 0.240 0.894
0.740 0.133 0.394
0.894 0.633 0.240
0.165 0.165 0.165
0.665 0.665 0.665
0.356 0.356 0.356
0.856 0.856 0.856
0.076 0.744 0.458
0.244 0.576 0.958
0.458 0.076 0.744
0.576 0.958 0.244
0.744 0.458 0.076
0.958 0.244 0.576
0.026 0.790 0.621
0.082 0.740 0.949
0.110 0.895 0.285
0.121 0.290 0.526
0.209 0.423 0.967
0.240 0.582 0.449
0.285 0.110 0.895
0.290 0.526 0.121
0.395 0.610 0.785
0.423 0.967 0.209
0.449 0.240 0.582
0.467 0.923 0.709
0.526 0.121 0.290
0.582 0.449 0.240
0.610 0.785 0.395
0.621 0.026 0.790
0.709 0.467 0.923
0.740 0.949 0.082
0.785 0.395 0.610
0.790 0.621 0.026
0.895 0.285 0.110
0.923 0.709 0.467
0.949 0.082 0.740
0.967 0.209 0.423
```